This entry pairs a crystal structure of CoH4SeO5 with its theoretical X-ray powder pattern. Radiation: Cu Kα. Structure: DFT lattice parameters and positions (PBE+U).

Principal peaks in the range 2θ from 15° to 90°, by angle:
two_theta	Rel. int.	hkl
19.05	100	0 2 1
19.21	36	1 1 0
21.40	30	1 0 -2
24.37	65	0 1 2
32.69	58	2 1 -1
34.39	35	1 2 -3
34.57	44	1 4 -1
36.56	24	2 1 0
38.58	22	1 3 -3
42.58	32	1 5 0

Crystal structure
a b c (Å): 5.7163 11.7113 8.7409
angles (deg): 90.00 118.42 90.00
Fractional positions:
Co 0.2088 0.0655 0.4356
Co 0.2088 0.4345 0.9356
Co 0.7912 0.5655 0.0644
Co 0.7912 0.9345 0.5644
H 0.0893 0.5847 0.4085
H 0.0893 0.9153 0.9085
H 0.1032 0.1862 0.1354
H 0.1032 0.3138 0.6354
H 0.2739 0.6012 0.6814
H 0.2739 0.8988 0.1814
H 0.4718 0.0624 0.8243
H 0.4718 0.4376 0.3243
H 0.5282 0.5624 0.6757
H 0.5282 0.9376 0.1757
H 0.7261 0.1012 0.8186
H 0.7261 0.3988 0.3186
H 0.8968 0.6862 0.3646
H 0.8968 0.8138 0.8646
H 0.9107 0.0847 0.0915
H 0.9107 0.4153 0.5915
Se 0.3057 0.6532 0.1324
Se 0.3057 0.8468 0.6324
Se 0.6943 0.1532 0.3676
Se 0.6943 0.3468 0.8676
O 0.0202 0.2000 0.4809
O 0.0202 0.3000 0.9809
O 0.0945 0.1091 0.1801
O 0.0945 0.3909 0.6801
O 0.2230 0.5160 0.1734
O 0.2230 0.9840 0.6734
O 0.3616 0.6074 0.6082
O 0.3616 0.8926 0.1082
O 0.3812 0.6073 0.9689
O 0.3812 0.8927 0.4689
O 0.6188 0.1073 0.5311
O 0.6188 0.3927 0.0311
O 0.6384 0.1074 0.8918
O 0.6384 0.3926 0.3918
O 0.7770 0.0160 0.3266
O 0.7770 0.4840 0.8266
O 0.9055 0.6091 0.3199
O 0.9055 0.8909 0.8199
O 0.9798 0.7000 0.0191
O 0.9798 0.8000 0.5191